For CsDy2AgO4, a cell relaxed with GGA-PBE gives the simulated powder diffractogram in this record (Cu Kα X-rays).
Intensities are scaled so that the largest is 100.

Cell and atoms:
```
data_CsDy2AgO4
_cell_length_a 3.4953
_cell_length_b 3.4953
_cell_length_c 12.2552
_cell_angle_alpha 90.00
_cell_angle_beta 90.00
_cell_angle_gamma 120.00
_symmetry_space_group_name_H-M 'P -6 m 2'
_symmetry_Int_Tables_number 187
_symmetry_space_group_name_Hall 'P -6 2'
loop_
_atom_site_label
_atom_site_type_symbol
_atom_site_fract_x
_atom_site_fract_y
_atom_site_fract_z
Cs1 Cs 0.0000 0.0000 0.0000
Dy1 Dy 0.6667 0.3333 0.2775
Ag1 Ag 0.3333 0.6667 0.5000
O1 O 0.0000 0.0000 0.3655
O2 O 0.3333 0.6667 0.1840
```

Largest 6 diffraction maxima, in order of falling intensity, 2θ = 10–80°:
- (1 0 2), 2θ 33.0, I = 100
- (1 0 3), 2θ 37.0, I = 40
- (1 1 0), 2θ 52.3, I = 33
- (0 0 4), 2θ 29.1, I = 28
- (1 0 1), 2θ 30.4, I = 26
- (1 0 5), 2θ 47.7, I = 24